Entry 1:
Calculated XRD peak list of CsH3Se2O6 for Cu Kα, 1.54184 Å, from a structure optimized by DFT (GGA-PBE).

```
24
Lattice="5.957 0.000 0.000 -0.175 6.728 0.000 -2.563 -0.423 9.161" Properties=species:S:1:pos:R:3 pbc="T T T"
Cs 0.000 0.000 0.000
Cs 0.405 3.385 3.055
H 0.905 0.207 3.790
H 1.534 4.917 6.107
H 3.082 1.841 1.317
H 3.182 5.130 1.800
H 2.129 1.658 5.947
H 2.914 2.777 8.478
Se 0.057 -0.116 6.371
Se 0.552 3.055 8.716
Se 3.270 0.059 3.487
Se 3.891 3.265 5.954
O -1.904 2.535 7.493
O -0.142 0.514 4.795
O 0.516 4.942 5.980
O 1.543 0.047 2.960
O 2.410 2.241 0.636
O 2.638 4.897 0.329
O 1.445 0.649 6.983
O 2.543 2.266 5.232
O 3.546 5.202 2.763
O 3.923 1.146 2.390
O 4.829 3.364 0.126
O 3.115 4.740 6.257
```

Top 8 peaks for 2θ from 10° to 90°, in order of rising 2θ:
(hkl)	2theta	I_rel
1 -1 1	23.76	585
1 1 -2	24.93	1000
-1 1 2	25.30	518
0 2 0	26.52	398
0 0 3	29.24	382
2 0 -1	30.04	276
0 2 -3	38.92	116
-2 2 1	40.00	115

Entry 2:
Calculated XRD peak list of CsSi2HO5 for Cu Kα, 1.54184 Å, from a structure optimized by DFT (GGA-PBE).

```
36
Lattice="5.046 0.000 0.000 0.000 9.074 0.000 0.000 0.000 13.204" Properties=species:S:1:pos:R:3 pbc="T T T"
Cs 0.336 2.233 4.091
Cs 2.187 6.841 10.693
Cs 2.859 2.304 9.114
Cs 4.710 6.770 2.511
Si 0.152 8.383 7.463
Si 0.158 5.183 7.540
Si 2.365 3.891 0.938
Si 2.372 0.691 0.861
Si 2.675 5.229 5.742
Si 2.681 8.429 5.664
Si 4.889 0.646 12.266
Si 4.895 3.846 12.344
H 0.066 0.012 9.727
H 2.457 9.062 3.124
H 2.589 4.525 3.478
H 4.980 4.549 10.080
O 0.256 6.799 7.865
O 0.489 4.323 8.840
O 0.528 0.202 8.762
O 1.157 4.869 6.258
O 1.161 8.757 6.225
O 1.362 0.317 12.827
O 1.366 4.205 12.860
O 1.995 8.872 2.159
O 2.034 4.752 2.238
O 2.268 2.275 1.263
O 2.779 6.813 5.339
O 3.012 0.215 4.364
O 3.051 4.335 4.443
O 3.681 8.742 6.947
O 3.684 4.855 6.979
O 3.885 4.220 0.377
O 3.889 0.332 0.345
O 4.518 4.740 11.045
O 4.557 8.860 10.966
O 4.791 2.262 11.941
```

Top 8 peaks for 2θ from 10° to 90°, in order of rising 2θ:
(hkl)	2theta	I_rel
1 1 1	21.24	241
0 1 3	22.45	735
0 2 2	23.80	548
1 1 2	24.27	873
1 0 3	26.88	376
1 2 1	27.28	1000
0 1 5	35.40	292
1 3 4	44.39	488

Entry 3:
Calculated XRD peak list of CsSi3HO7 for Cu Kα, 1.54184 Å, from a structure optimized by DFT (GGA-PBE).

```
48
Lattice="4.993 0.000 0.000 0.000 10.548 0.000 0.000 0.000 14.399" Properties=species:S:1:pos:R:3 pbc="T T T"
Cs 0.153 0.857 3.598
Cs 2.344 9.691 10.797
Cs 2.650 4.417 10.801
Cs 4.840 6.131 3.602
Si 0.106 9.663 7.311
Si 0.129 6.870 8.749
Si 0.514 2.150 8.003
Si 1.983 8.398 0.804
Si 2.368 3.678 1.550
Si 2.391 0.885 0.112
Si 2.602 6.159 7.087
Si 2.626 8.952 5.649
Si 3.011 3.124 6.395
Si 4.479 7.424 13.595
Si 4.864 1.596 12.849
Si 4.888 4.389 14.286
H 0.134 7.338 11.329
H 2.363 3.210 4.130
H 2.631 8.484 3.069
H 4.859 2.064 10.269
O 0.129 2.737 9.459
O 0.271 8.499 8.445
O 0.465 7.915 0.415
O 0.493 6.537 10.256
O 0.503 0.503 8.057
O 1.068 6.083 7.632
O 1.067 9.379 6.021
O 1.429 1.169 13.220
O 1.429 4.465 0.432
O 1.994 10.046 0.858
O 2.004 4.012 3.056
O 2.031 2.634 7.614
O 2.225 2.049 1.245
O 2.367 7.811 2.260
O 2.626 2.537 4.940
O 2.768 7.323 5.954
O 2.962 7.908 13.984
O 2.989 9.286 4.143
O 3.000 4.772 6.342
O 3.564 6.443 8.378
O 3.565 9.739 6.767
O 3.925 0.809 13.966
O 3.926 4.105 1.179
O 4.490 5.777 13.541
O 4.500 1.262 11.342
O 4.528 2.640 6.784
O 4.722 3.225 13.153
O 4.864 8.011 12.139
```

Top 8 peaks for 2θ from 10° to 90°, in order of rising 2θ:
(hkl)	2theta	I_rel
1 2 0	24.55	562
0 0 4	24.73	325
0 2 3	25.09	710
1 2 1	25.33	513
1 0 3	25.75	1000
1 2 2	27.54	790
2 0 0	35.98	356
1 4 2	40.67	324

Entry 4:
Calculated XRD peak list of CsSi2HO5 for Cu Kα, 1.54184 Å, from a structure optimized by DFT (GGA-PBE).

```
36
Lattice="5.049 0.000 0.000 0.000 8.984 0.000 0.000 0.000 13.041" Properties=species:S:1:pos:R:3 pbc="T T T"
Cs 0.339 2.246 0.758
Cs 2.186 6.738 7.279
Cs 2.863 2.246 5.762
Cs 4.710 6.738 12.282
Si 0.152 5.131 4.127
Si 0.152 8.345 4.127
Si 2.372 0.639 10.648
Si 2.372 3.853 10.648
Si 2.677 5.131 2.393
Si 2.677 8.345 2.393
Si 4.897 0.639 8.913
Si 4.897 3.853 8.913
H 0.000 0.000 6.520
H 0.000 4.492 6.520
H 2.525 0.000 0.000
H 2.525 4.492 0.000
O 0.237 6.738 4.511
O 0.523 0.226 5.431
O 0.523 4.266 5.431
O 1.142 4.791 2.897
O 1.142 8.685 2.897
O 1.383 0.299 9.417
O 1.383 4.193 9.417
O 2.002 4.718 11.951
O 2.002 8.758 11.951
O 2.288 2.246 11.031
O 2.761 6.738 2.010
O 3.047 0.226 1.090
O 3.047 4.266 1.090
O 3.667 4.791 3.624
O 3.667 8.685 3.624
O 3.907 0.299 10.144
O 3.907 4.193 10.144
O 4.527 4.718 7.610
O 4.527 8.758 7.610
O 4.813 2.246 8.530
```

Top 8 peaks for 2θ from 10° to 90°, in order of rising 2θ:
(hkl)	2theta	I_rel
1 1 1	21.30	243
0 1 3	22.73	710
0 2 2	24.06	579
1 1 2	24.40	828
1 0 3	27.07	391
1 2 1	27.44	1000
0 1 5	35.85	290
1 3 4	44.85	378

Entry 5:
Calculated XRD peak list of Cs2H4Pd for Cu Kα, 1.54184 Å, from a structure optimized by DFT (GGA-PBE).

```
14
Lattice="6.273 0.000 0.000 0.000 6.273 0.000 0.000 0.000 8.977" Properties=species:S:1:pos:R:3 pbc="T T T"
Cs 0.000 3.136 2.244
Cs 0.000 3.136 6.733
Cs 3.136 0.000 2.244
Cs 3.136 0.000 6.733
H 0.000 0.000 1.664
H 0.000 0.000 7.313
H 1.176 1.176 0.000
H 1.960 4.313 4.488
H 3.136 3.136 2.824
H 3.136 3.136 6.152
H 4.313 1.960 4.488
H 5.097 5.097 0.000
Pd 0.000 0.000 0.000
Pd 3.136 3.136 4.488
```

Top 8 peaks for 2θ from 10° to 90°, in order of rising 2θ:
(hkl)	2theta	I_rel
1 0 1	17.25	314
1 1 0	20.02	186
1 1 2	28.29	1000
2 0 0	28.46	500
2 2 0	40.68	190
2 0 4	49.97	202
3 1 2	50.29	396
4 2 0	66.64	173